Diffraction record for Th4InPd. The powder X-ray diffraction pattern is simulated, not measured: it uses the PBE geometry in Alexandria and copper Kα.

a = 7.6409 Å, b = 7.6409 Å, c = 5.8585 Å
α = 90.00°, β = 90.00°, γ = 90.00°
Space group P4/mcc (No. 124)
One atom of each set of equivalent atoms:
Th 0.1470 0.3340 0.0000 (multiplicity 8)
In 0.5000 0.5000 0.2500 (multiplicity 2)
Pd 0.0000 0.0000 0.2500 (multiplicity 2)

Largest 10 diffraction maxima, by angle, 15° ≤ 2θ ≤ 90°:
2θ/deg, d_spacing, I_rel, index
30.28, 2.952, 100, 2 1 1
30.52, 2.929, 12, 0 0 2
34.84, 2.575, 19, 1 1 2
37.21, 2.416, 31, 3 1 0
38.74, 2.325, 18, 2 0 2
51.74, 1.767, 13, 4 1 1
54.09, 1.695, 20, 2 1 3
57.61, 1.600, 13, 4 0 2
60.33, 1.534, 18, 3 3 2
67.98, 1.379, 13, 5 2 1



Diffraction record for Sm4Ir2Se. The powder X-ray diffraction pattern is simulated, not measured: it uses the PBE geometry in Alexandria and copper Kα.

a = 8.9360 Å, b = 8.9360 Å, c = 8.8982 Å
α = 90.00°, β = 90.00°, γ = 90.00°
Space group I-42d (No. 122)
One atom of each set of equivalent atoms:
Sm 0.0647 0.6842 0.4243 (multiplicity 16)
Ir 0.1127 0.7500 0.1250 (multiplicity 8)
Se 0.0000 0.0000 0.5000 (multiplicity 4)

Largest 10 diffraction maxima, by angle, 15° ≤ 2θ ≤ 90°:
2θ/deg, d_spacing, I_rel, index
28.26, 3.157, 11, 2 2 0
31.67, 2.825, 100, 3 1 0
31.79, 2.815, 44, 1 0 3
37.72, 2.385, 76, 3 2 1
45.42, 1.997, 15, 4 0 2
47.82, 1.902, 20, 3 2 3
52.25, 1.751, 21, 4 1 3
52.34, 1.748, 21, 3 1 4
64.29, 1.449, 27, 6 1 1
78.72, 1.216, 15, 7 1 2



Diffraction record for V6SiSn. The powder X-ray diffraction pattern is simulated, not measured: it uses the PBE geometry in Alexandria and copper Kα.

a = 4.8394 Å, b = 4.8394 Å, c = 4.8394 Å
α = 90.00°, β = 90.00°, γ = 90.00°
Space group Pm-3 (No. 200)
One atom of each set of equivalent atoms:
V 0.0000 0.2349 0.5000 (multiplicity 6)
Si 0.0000 0.0000 0.0000 (multiplicity 1)
Sn 0.5000 0.5000 0.5000 (multiplicity 1)

Largest 10 diffraction maxima, by angle, 15° ≤ 2θ ≤ 90°:
2θ/deg, d_spacing, I_rel, index
18.33, 4.839, 28, 1 0 0
26.04, 3.422, 9, 1 1 0
32.03, 2.794, 22, 1 1 1
37.16, 2.420, 48, 2 0 0
41.74, 2.164, 99, 2 0 1
45.93, 1.976, 100, 2 1 1
57.10, 1.613, 10, 3 0 0
70.11, 1.342, 22, 3 2 0
73.18, 1.293, 50, 3 1 2
79.17, 1.210, 15, 4 0 0



Diffraction record for Rb2TaTe4. The powder X-ray diffraction pattern is simulated, not measured: it uses the PBE geometry in Alexandria and copper Kα.

a = 9.1232 Å, b = 7.6687 Å, c = 9.3778 Å
α = 90.00°, β = 115.05°, γ = 90.00°
Space group P2_1/m (No. 11)
One atom of each set of equivalent atoms:
Rb 0.1150 0.2500 0.3175 (multiplicity 2)
Rb 0.3391 0.2500 0.9391 (multiplicity 2)
Ta 0.3581 0.7500 0.3924 (multiplicity 2)
Te 0.0678 0.7500 0.3939 (multiplicity 2)
Te 0.2449 0.7500 0.0724 (multiplicity 2)
Te 0.4537 0.5170 0.6571 (multiplicity 4)

Largest 10 diffraction maxima, by angle, 15° ≤ 2θ ≤ 90°:
2θ/deg, d_spacing, I_rel, index
15.57, 5.693, 55, 0 1 1
15.76, 5.622, 63, 1 1 0
22.74, 3.910, 70, 2 1 -1
25.62, 3.477, 72, 1 2 0
27.72, 3.219, 52, 2 0 1
29.43, 3.035, 81, 1 2 1
30.16, 2.963, 67, 1 2 -2
31.82, 2.812, 100, 3 1 -1
33.74, 2.657, 67, 0 1 3
37.20, 2.417, 51, 1 2 -3



Diffraction record for NaAlBP2H3O10. The powder X-ray diffraction pattern is simulated, not measured: it uses the PBE geometry in Alexandria and copper Kα.

a = 10.5564 Å, b = 8.0935 Å, c = 9.0971 Å
α = 90.00°, β = 116.83°, γ = 90.00°
Space group C2/c (No. 15)
One atom of each set of equivalent atoms:
Na 0.0000 0.1331 0.2500 (multiplicity 4)
Al 0.2500 0.2500 0.0000 (multiplicity 4)
B 0.0000 0.4650 0.7500 (multiplicity 4)
P 0.2268 0.0644 0.6816 (multiplicity 8)
H 0.0039 0.3123 0.5696 (multiplicity 8)
H 0.2500 0.2500 0.5000 (multiplicity 4)
O 0.0670 0.3618 0.9012 (multiplicity 8)
O 0.1069 0.4240 0.2428 (multiplicity 8)
O 0.1648 0.1995 0.5449 (multiplicity 8)
O 0.1782 0.1094 0.1094 (multiplicity 8)
O 0.1811 0.0967 0.8162 (multiplicity 8)

Largest 10 diffraction maxima, by angle, 15° ≤ 2θ ≤ 90°:
2θ/deg, d_spacing, I_rel, index
18.84, 4.710, 99, 2 0 0
21.91, 4.057, 34, 0 0 2
22.43, 3.964, 75, 1 1 -2
27.89, 3.199, 99, 2 2 -1
29.74, 3.004, 28, 1 1 2
30.54, 2.927, 45, 3 1 0
31.21, 2.866, 100, 0 2 2
34.34, 2.612, 32, 4 0 -2
42.18, 2.142, 40, 3 1 -4
49.69, 1.835, 30, 5 1 0



Diffraction record for HfZr7. The powder X-ray diffraction pattern is simulated, not measured: it uses the PBE geometry in Alexandria and copper Kα.

a = 3.1335 Å, b = 9.9339 Å, c = 11.8703 Å
α = 90.00°, β = 90.00°, γ = 90.00°
Space group Immm (No. 71)
One atom of each set of equivalent atoms:
Hf 0.0000 0.0000 0.0000 (multiplicity 2)
Zr 0.0000 0.2422 0.3740 (multiplicity 8)
Zr 0.0000 0.5000 0.0000 (multiplicity 2)
Zr 0.0000 0.5000 0.2560 (multiplicity 4)

Largest 10 diffraction maxima, by angle, 15° ≤ 2θ ≤ 90°:
2θ/deg, d_spacing, I_rel, index
33.58, 2.669, 24, 1 1 2
34.68, 2.587, 84, 1 2 1
35.23, 2.548, 100, 0 2 4
36.17, 2.483, 46, 0 4 0
36.58, 2.456, 41, 1 0 3
48.08, 1.892, 14, 1 0 5
52.39, 1.746, 29, 1 4 3
64.44, 1.446, 16, 0 6 4
65.33, 1.428, 16, 1 2 7
70.57, 1.335, 25, 2 2 4



Diffraction record for Li3Cd4Au. The powder X-ray diffraction pattern is simulated, not measured: it uses the PBE geometry in Alexandria and copper Kα.

a = 25.5763 Å, b = 3.5183 Å, c = 3.6096 Å
α = 90.00°, β = 97.95°, γ = 90.00°
Space group C2/m (No. 12)
One atom of each set of equivalent atoms:
Li 0.0000 0.0000 0.0000 (multiplicity 2)
Li 0.2180 0.0000 0.7178 (multiplicity 4)
Cd 0.0916 0.0000 0.5911 (multiplicity 4)
Cd 0.1633 0.5000 0.1634 (multiplicity 4)
Au 0.0000 0.5000 0.5000 (multiplicity 2)

Largest 10 diffraction maxima, by angle, 15° ≤ 2θ ≤ 90°:
2θ/deg, d_spacing, I_rel, index
24.92, 3.574, 48, 0 0 1
26.86, 3.319, 81, 2 0 1
30.94, 2.890, 97, 5 1 0
35.60, 2.522, 83, 7 1 0
36.36, 2.471, 26, 3 1 -1
38.45, 2.341, 100, 5 1 -1
40.59, 2.223, 26, 8 0 1
40.71, 2.216, 26, 10 0 -1
42.84, 2.111, 29, 12 0 0
60.48, 1.531, 30, 3 1 2



Diffraction record for Li2MgWN4. The powder X-ray diffraction pattern is simulated, not measured: it uses the PBE geometry in Alexandria and copper Kα.

a = 4.7461 Å, b = 4.7461 Å, c = 9.5176 Å
α = 90.00°, β = 90.00°, γ = 90.00°
Space group I-4 (No. 82)
One atom of each set of equivalent atoms:
Li 0.0000 0.0000 0.0000 (multiplicity 2)
Li 0.0000 0.5000 0.2500 (multiplicity 2)
Mg 0.0000 0.0000 0.5000 (multiplicity 2)
W 0.0000 0.5000 0.7500 (multiplicity 2)
N 0.2211 0.2686 0.6343 (multiplicity 8)

Largest 10 diffraction maxima, by angle, 15° ≤ 2θ ≤ 90°:
2θ/deg, d_spacing, I_rel, index
18.65, 4.759, 25, 0 0 2
20.92, 4.247, 100, 1 0 1
26.56, 3.356, 20, 1 1 0
32.65, 2.743, 49, 1 1 2
33.99, 2.638, 26, 1 0 3
43.69, 2.072, 26, 2 1 1
51.80, 1.765, 26, 1 2 3
54.65, 1.680, 23, 2 0 4
65.18, 1.431, 13, 3 1 2
65.94, 1.417, 13, 3 0 3